No. 1
# K2CeP2O8
Theoretical powder XRD pattern, a wavelength of 1.5418 Å. Input: a structure optimized by DFT (PBE).

The 8 most intense peaks (2θ = 15–90°), sorted by position:
2θ 15.09, rel. 54; 2θ 19.10, rel. 22; 2θ 27.99, rel. 100; 2θ 28.73, rel. 43; 2θ 30.18, rel. 41; 2θ 32.46, rel. 32; 2θ 36.99, rel. 19; 2θ 41.88, rel. 20

a b c (Å): 7.8312 11.0339 9.7309
angles (deg): 90.00 117.70 90.00
Fractional coordinates of all 52 atoms:
K (0.1492, 0.1290, 0.0438)
K (0.1492, 0.3710, 0.5438)
K (0.3357, 0.1140, 0.4594)
K (0.3357, 0.3860, 0.9594)
K (0.6643, 0.6140, 0.0406)
K (0.6643, 0.8860, 0.5406)
K (0.8508, 0.6290, 0.4562)
K (0.8508, 0.8710, 0.9562)
Ce (0.2549, 0.6395, 0.2804)
Ce (0.2549, 0.8605, 0.7804)
Ce (0.7451, 0.1395, 0.2196)
Ce (0.7451, 0.3605, 0.7196)
P (0.0641, 0.6405, 0.8532)
P (0.0641, 0.8595, 0.3532)
P (0.4648, 0.6310, 0.6357)
P (0.4648, 0.8690, 0.1357)
P (0.5352, 0.1310, 0.8643)
P (0.5352, 0.3690, 0.3643)
P (0.9359, 0.1405, 0.6468)
P (0.9359, 0.3595, 0.1468)
O (0.0334, 0.2435, 0.2443)
O (0.0334, 0.2565, 0.7443)
O (0.0361, 0.0239, 0.7370)
O (0.0361, 0.4761, 0.2370)
O (0.0609, 0.6461, 0.0122)
O (0.0609, 0.8539, 0.5122)
O (0.2488, 0.6019, 0.5264)
O (0.2488, 0.8981, 0.0264)
O (0.2732, 0.6465, 0.8761)
O (0.2732, 0.8535, 0.3761)
O (0.4313, 0.0230, 0.7527)
O (0.4313, 0.4770, 0.2527)
O (0.4527, 0.1493, 0.9812)
O (0.4527, 0.3507, 0.4812)
O (0.4891, 0.7476, 0.7319)
O (0.4891, 0.7524, 0.2319)
O (0.5109, 0.2476, 0.7681)
O (0.5109, 0.2524, 0.2681)
O (0.5473, 0.6493, 0.5188)
O (0.5473, 0.8507, 0.0188)
O (0.5687, 0.5230, 0.7473)
O (0.5687, 0.9770, 0.2473)
O (0.7268, 0.1465, 0.6239)
O (0.7268, 0.3535, 0.1239)
O (0.7512, 0.1019, 0.9736)
O (0.7512, 0.3981, 0.4736)
O (0.9391, 0.1461, 0.4878)
O (0.9391, 0.3539, 0.9878)
O (0.9639, 0.5239, 0.7630)
O (0.9639, 0.9761, 0.2630)
O (0.9666, 0.7435, 0.2557)
O (0.9666, 0.7565, 0.7557)

***

No. 2
# LiCa2Cd
Theoretical powder XRD pattern, a wavelength of 1.5418 Å. Input: a structure optimized by DFT (PBE).

The 8 most intense peaks (2θ = 15–90°), sorted by position:
2θ 19.81, rel. 66; 2θ 32.63, rel. 100; 2θ 38.47, rel. 36; 2θ 46.82, rel. 17; 2θ 51.31, rel. 15; 2θ 58.24, rel. 34; 2θ 62.15, rel. 11; 2θ 77.84, rel. 14

a b c (Å): 5.4881 5.4881 5.4881
angles (deg): 60.00 60.00 60.00
Fractional coordinates of all 4 atoms:
Li (0.0000, 0.0000, 0.0000)
Ca (0.2500, 0.2500, 0.2500)
Ca (0.7500, 0.7500, 0.7500)
Cd (0.5000, 0.5000, 0.5000)

***

No. 3
# Sr3MgRhO6
Theoretical powder XRD pattern, a wavelength of 1.5418 Å. Input: a structure optimized by DFT (PBE).

The 8 most intense peaks (2θ = 15–90°), sorted by position:
2θ 19.11, rel. 44; 2θ 30.29, rel. 82; 2θ 31.83, rel. 100; 2θ 38.78, rel. 20; 2θ 41.90, rel. 24; 2θ 43.16, rel. 22; 2θ 44.51, rel. 48; 2θ 58.07, rel. 22

a b c (Å): 6.7359 6.7359 6.7359
angles (deg): 92.59 92.59 92.59
Fractional coordinates of all 22 atoms:
Sr (0.1154, 0.7500, 0.3846)
Sr (0.2500, 0.6154, 0.8846)
Sr (0.3846, 0.1154, 0.7500)
Sr (0.6154, 0.8846, 0.2500)
Sr (0.7500, 0.3846, 0.1154)
Sr (0.8846, 0.2500, 0.6154)
Mg (0.2500, 0.2500, 0.2500)
Mg (0.7500, 0.7500, 0.7500)
Rh (0.0000, 0.0000, 0.0000)
Rh (0.5000, 0.5000, 0.5000)
O (0.0371, 0.9063, 0.7125)
O (0.0937, 0.2875, 0.9629)
O (0.2125, 0.4063, 0.5371)
O (0.2875, 0.9629, 0.0937)
O (0.4063, 0.5371, 0.2125)
O (0.4629, 0.7875, 0.5937)
O (0.5371, 0.2125, 0.4063)
O (0.5937, 0.4629, 0.7875)
O (0.7125, 0.0371, 0.9063)
O (0.7875, 0.5937, 0.4629)
O (0.9063, 0.7125, 0.0371)
O (0.9629, 0.0937, 0.2875)